(1)
# Sr6Ca2Mn5Fe3O24
Simulated powder X-ray diffraction pattern, CuKα. Input: a crystal structure in the Materials Project, relaxed with PBE+U.

Structural model:
Lattice parameters (Å, degrees): 7.7568 7.7515 7.8003 90.00 90.00 90.00
Space group P2 (No. 3)
Inequivalent atoms, fractional coordinates:
Sr (0.2494, 0.0000, 0.2511) [2 per cell]
Sr (0.2495, 0.5010, 0.2510) [2 per cell]
Sr (0.2495, 0.5011, 0.7490) [2 per cell]
Ca (0.2492, 0.9997, 0.7486) [2 per cell]
Mn (0.0000, 0.2490, 0.5000) [1 per cell]
Mn (0.0000, 0.7519, 0.0000) [1 per cell]
Mn (0.0000, 0.7518, 0.5000) [1 per cell]
Mn (0.5000, 0.2493, 0.5000) [1 per cell]
Mn (0.5000, 0.7520, 0.5000) [1 per cell]
Fe (0.0000, 0.2490, 0.0000) [1 per cell]
Fe (0.5000, 0.2491, 0.0000) [1 per cell]
Fe (0.5000, 0.7518, 0.0000) [1 per cell]
O (0.0000, 0.0002, 0.5000) [1 per cell]
O (0.0000, 0.5010, 0.5000) [1 per cell]
O (0.0000, 0.5033, 0.0000) [1 per cell]
O (0.0000, 0.9975, 0.0000) [1 per cell]
O (0.0022, 0.2471, 0.7455) [2 per cell]
O (0.0028, 0.7543, 0.7492) [2 per cell]
O (0.2471, 0.7539, 0.9979) [2 per cell]
O (0.2503, 0.2470, 0.5027) [2 per cell]
O (0.2496, 0.7542, 0.5029) [2 per cell]
O (0.2519, 0.2473, 0.9980) [2 per cell]
O (0.4978, 0.2470, 0.7473) [2 per cell]
O (0.4978, 0.7539, 0.7455) [2 per cell]
O (0.5000, 0.0009, 0.5000) [1 per cell]
O (0.5000, 0.0023, 0.0000) [1 per cell]
O (0.5000, 0.4986, 0.0000) [1 per cell]
O (0.5000, 0.5002, 0.5000) [1 per cell]

Peak list (10 most intense, 10 to 90 degrees two-theta, low angle first)
| h k l | 2theta | Rel. int. |
| --- | --- | --- |
| 2 0 2 | 32.56 | 100.0 |
| 2 2 0 | 32.66 | 49.6 |
| 2 2 2 | 40.21 | 18.5 |
| 0 0 4 | 46.57 | 20.8 |
| 4 0 0 | 46.87 | 40.7 |
| 2 2 4 | 58.04 | 18.6 |
| 4 2 2 | 58.23 | 36.8 |
| 4 0 4 | 68.21 | 23.1 |
| 4 4 0 | 68.44 | 11.4 |
| 6 0 2 | 77.88 | 11.7 |

---

(2)
# Sr3Ca5Mn4Fe4O24
Simulated powder X-ray diffraction pattern, CuKα. Input: a crystal structure in the Materials Project, relaxed with PBE+U.

Structural model:
Lattice parameters (Å, degrees): 10.9305 10.9265 7.7226 90.00 90.03 90.00
Space group Cm (No. 8)
Inequivalent atoms, fractional coordinates:
Sr (0.0000, 0.0000, 0.0000) [2 per cell]
Sr (0.2496, 0.2495, 0.0000) [4 per cell]
Ca (0.0005, 0.0000, 0.4985) [2 per cell]
Ca (0.2495, 0.2491, 0.4985) [4 per cell]
Ca (0.4987, 0.0000, 0.0003) [2 per cell]
Ca (0.4986, 0.0000, 0.4984) [2 per cell]
Mn (0.2502, 0.0000, 0.2515) [2 per cell]
Mn (0.2503, 0.0000, 0.7468) [2 per cell]
Mn (0.4995, 0.2492, 0.2514) [4 per cell]
Fe (0.9995, 0.2508, 0.7470) [4 per cell]
Fe (0.2487, 0.5000, 0.2516) [2 per cell]
Fe (0.2487, 0.5000, 0.7470) [2 per cell]
O (0.9996, 0.2532, 0.0029) [4 per cell]
O (0.1218, 0.3752, 0.2535) [4 per cell]
O (0.1252, 0.1247, 0.2565) [4 per cell]
O (0.1250, 0.3783, 0.7451) [4 per cell]
O (0.1263, 0.1236, 0.7427) [4 per cell]
O (0.2466, 0.5000, 0.9955) [2 per cell]
O (0.2488, 0.5000, 0.5029) [2 per cell]
O (0.2500, 0.0000, 0.4985) [2 per cell]
O (0.2530, 0.0000, 0.0005) [2 per cell]
O (0.3722, 0.3766, 0.7429) [4 per cell]
O (0.3745, 0.1218, 0.7452) [4 per cell]
O (0.3757, 0.1229, 0.2536) [4 per cell]
O (0.3755, 0.3734, 0.2564) [4 per cell]
O (0.4995, 0.2494, 0.4959) [4 per cell]

Peak list (10 most intense, 10 to 90 degrees two-theta, low angle first)
| h k l | 2theta | Rel. int. |
| --- | --- | --- |
| 0 0 1 | 11.46 | 4.8 |
| 2 2 0 | 23.02 | 3.3 |
| 2 2 -1 | 25.78 | 4.7 |
| 4 0 0 | 32.79 | 100.0 |
| 4 0 2 | 40.44 | 9.1 |
| 4 4 0 | 47.05 | 45.3 |
| 4 0 4 | 58.53 | 36.2 |
| 8 0 0 | 68.73 | 24.7 |
| 8 4 0 | 78.26 | 15.1 |
| 8 0 4 | 87.47 | 8.0 |